This entry pairs a crystal structure of Dy5ErN6 with its calculated powder diffractogram. Radiation: Cu Kα X-rays. Structure: the PBE geometry in Alexandria.

```
data_Dy5ErN6
_chemical_formula_sum 'Dy10 Er2 N12'
_cell_length_a 6.002
_cell_length_b 10.398
_cell_length_c 6.003
_cell_angle_alpha 90.00
_cell_angle_beta 109.46
_cell_angle_gamma 90.00
_symmetry_space_group_name_H-M 'C 1 2/m 1'
_symmetry_Int_Tables_number 12
loop_
_symmetry_equiv_pos_as_xyz
'x,y,z'
'-x,-y,-z'
'-x,y,-z'
'x,-y,z'
'x+1/2,y+1/2,z'
'-x+1/2,-y+1/2,-z'
'-x+1/2,y+1/2,-z'
'x+1/2,-y+1/2,z'
loop_
_atom_site_label
_atom_site_fract_x
_atom_site_fract_y
_atom_site_fract_z
_atom_site_occupancy
Dy1 0.000 0.000 0.000 1
Dy2 0.000 0.167 0.500 1
Dy3 0.000 0.334 0.000 1
Er1 0.000 0.500 0.500 1
N1 0.249 0.334 0.749 1
N2 0.249 0.500 0.251 1
```

The 8 most intense peaks (10° ≤ 2θ ≤ 90°), sorted by position:
- hkl 2 0 0, 2θ = 31.6°, I = 100
- hkl 1 3 1, 2θ = 36.7°, I = 71
- hkl 2 0 2, 2θ = 52.8°, I = 49
- hkl 3 3 1, 2θ = 62.9°, I = 45
- hkl 4 0 0, 2θ = 66.0°, I = 16
- hkl 2 6 2, 2θ = 78.0°, I = 8
- hkl 4 0 2, 2θ = 86.6°, I = 19
- hkl 4 6 0, 2θ = 89.4°, I = 23

This entry pairs a crystal structure of CeNd3Er6 with its calculated powder diffractogram. Radiation: Cu Kα X-rays. Structure: the PBE geometry in Alexandria.

```
data_CeNd3Er6
_chemical_formula_sum 'Ce2 Nd6 Er12'
_cell_length_a 9.032
_cell_length_b 8.629
_cell_length_c 8.916
_cell_angle_alpha 90.00
_cell_angle_beta 100.61
_cell_angle_gamma 90.00
_symmetry_space_group_name_H-M 'C 1 2/m 1'
_symmetry_Int_Tables_number 12
loop_
_symmetry_equiv_pos_as_xyz
'x,y,z'
'-x,-y,-z'
'-x,y,-z'
'x,-y,z'
'x+1/2,y+1/2,z'
'-x+1/2,-y+1/2,-z'
'-x+1/2,y+1/2,-z'
'x+1/2,-y+1/2,z'
loop_
_atom_site_label
_atom_site_fract_x
_atom_site_fract_y
_atom_site_fract_z
_atom_site_occupancy
Ce1 0.000 0.000 0.000 1
Nd1 0.000 0.500 0.500 1
Nd2 0.219 0.500 0.231 1
Er1 0.117 0.000 0.367 1
Er2 0.121 0.319 0.856 1
```

The 10 most intense peaks (10° ≤ 2θ ≤ 90°), sorted by position:
- hkl 0 2 1, 2θ = 23.0°, I = 25
- hkl 2 2 -1, 2θ = 29.4°, I = 25
- hkl 2 0 2, 2θ = 31.2°, I = 60
- hkl 3 1 -1, 2θ = 31.8°, I = 100
- hkl 1 1 -3, 2θ = 32.2°, I = 69
- hkl 1 3 0, 2θ = 32.7°, I = 20
- hkl 2 2 -2, 2θ = 33.2°, I = 21
- hkl 1 3 1, 2θ = 34.9°, I = 32
- hkl 1 3 -2, 2θ = 37.7°, I = 27
- hkl 6 0 -2, 2θ = 62.4°, I = 23

This entry pairs a crystal structure of LiNd2Ga4Pd3 with its calculated powder diffractogram. Radiation: Cu Kα X-rays. Structure: the PBE geometry in Alexandria.

```
data_LiNd2Ga4Pd3
_chemical_formula_sum 'Li1 Nd2 Ga4 Pd3'
_cell_length_a 4.224
_cell_length_b 4.224
_cell_length_c 10.950
_cell_angle_alpha 90.00
_cell_angle_beta 90.00
_cell_angle_gamma 90.00
_symmetry_space_group_name_H-M 'P -4 m 2'
_symmetry_Int_Tables_number 115
loop_
_symmetry_equiv_pos_as_xyz
'x,y,z'
'y,-x,-z'
'-x,-y,z'
'-y,x,-z'
'-x,y,z'
'-y,-x,-z'
'x,-y,z'
'y,x,-z'
loop_
_atom_site_label
_atom_site_fract_x
_atom_site_fract_y
_atom_site_fract_z
_atom_site_occupancy
Li1 0.000 0.000 0.000 1
Nd1 0.000 0.500 0.741 1
Ga1 0.000 0.000 0.500 1
Ga2 0.000 0.500 0.134 1
Ga3 0.500 0.500 0.500 1
Pd1 0.000 0.500 0.366 1
Pd2 0.500 0.500 0.000 1
```

The 10 most intense peaks (10° ≤ 2θ ≤ 90°), sorted by position:
- hkl 1 1 0, 2θ = 29.9°, I = 32
- hkl 1 0 3, 2θ = 32.4°, I = 85
- hkl 1 1 2, 2θ = 34.2°, I = 100
- hkl 2 0 0, 2θ = 42.8°, I = 64
- hkl 1 0 5, 2θ = 46.7°, I = 44
- hkl 2 1 3, 2θ = 54.7°, I = 41
- hkl 2 2 0, 2θ = 62.2°, I = 21
- hkl 2 1 5, 2θ = 65.2°, I = 32
- hkl 3 1 2, 2θ = 72.9°, I = 21
- hkl 2 0 8, 2θ = 84.3°, I = 15

This entry pairs a crystal structure of LaCe2As2Rh7 with its calculated powder diffractogram. Radiation: Cu Kα X-rays. Structure: the PBE geometry in Alexandria.

```
data_LaCe2As2Rh7
_chemical_formula_sum 'La2 Ce4 As4 Rh14'
_cell_length_a 5.869
_cell_length_b 5.805
_cell_length_c 13.288
_cell_angle_alpha 90.00
_cell_angle_beta 101.26
_cell_angle_gamma 90.00
_symmetry_space_group_name_H-M 'C 1 2/m 1'
_symmetry_Int_Tables_number 12
loop_
_symmetry_equiv_pos_as_xyz
'x,y,z'
'-x,-y,-z'
'-x,y,-z'
'x,-y,z'
'x+1/2,y+1/2,z'
'-x+1/2,-y+1/2,-z'
'-x+1/2,y+1/2,-z'
'x+1/2,-y+1/2,z'
loop_
_atom_site_label
_atom_site_fract_x
_atom_site_fract_y
_atom_site_fract_z
_atom_site_occupancy
La1 0.000 0.000 0.000 1
Ce1 0.145 0.000 0.349 1
As1 0.117 0.500 0.268 1
Rh1 0.000 0.500 0.000 1
Rh2 0.176 0.250 0.831 1
Rh3 0.199 0.500 0.459 1
```

The 10 most intense peaks (10° ≤ 2θ ≤ 90°), sorted by position:
- hkl 0 2 1, 2θ = 31.6°, I = 19
- hkl 2 0 -3, 2θ = 33.8°, I = 44
- hkl 2 0 2, 2θ = 36.5°, I = 40
- hkl 0 2 3, 2θ = 37.3°, I = 68
- hkl 2 0 -4, 2θ = 37.4°, I = 29
- hkl 1 1 4, 2θ = 37.6°, I = 25
- hkl 0 0 6, 2θ = 41.6°, I = 37
- hkl 1 1 5, 2θ = 43.7°, I = 23
- hkl 2 2 -1, 2θ = 43.9°, I = 100
- hkl 1 1 -6, 2θ = 44.4°, I = 25

This entry pairs a crystal structure of Li2Ag2O3 with its calculated powder diffractogram. Radiation: Cu Kα X-rays. Structure: the PBE geometry in Alexandria.

```
data_Li2Ag2O3
_chemical_formula_sum 'Li4 Ag4 O6'
_cell_length_a 5.365
_cell_length_b 6.345
_cell_length_c 6.404
_cell_angle_alpha 90.00
_cell_angle_beta 126.56
_cell_angle_gamma 90.00
_symmetry_space_group_name_H-M 'P 1 21/c 1'
_symmetry_Int_Tables_number 14
loop_
_symmetry_equiv_pos_as_xyz
'x,y,z'
'-x,-y,-z'
'-x,y+1/2,-z+1/2'
'x,-y+1/2,z+1/2'
loop_
_atom_site_label
_atom_site_fract_x
_atom_site_fract_y
_atom_site_fract_z
_atom_site_occupancy
Li1 0.205 0.144 0.020 1
Ag1 0.306 0.706 0.938 1
O1 0.170 0.116 0.305 1
O2 0.500 0.000 0.000 1
```

The 10 most intense peaks (10° ≤ 2θ ≤ 90°), sorted by position:
- hkl 1 1 0, 2θ = 25.0°, I = 100
- hkl 1 0 -2, 2θ = 27.9°, I = 77
- hkl 0 2 0, 2θ = 28.1°, I = 36
- hkl 0 0 2, 2θ = 34.9°, I = 18
- hkl 2 1 -2, 2θ = 37.8°, I = 65
- hkl 1 2 -2, 2θ = 40.0°, I = 22
- hkl 2 1 0, 2θ = 44.4°, I = 18
- hkl 0 3 1, 2θ = 46.4°, I = 28
- hkl 1 1 2, 2θ = 53.2°, I = 19
- hkl 1 4 1, 2θ = 69.2°, I = 19

This entry pairs a crystal structure of Ce5In2Tc with its calculated powder diffractogram. Radiation: Cu Kα X-rays. Structure: the PBE geometry in Alexandria.

```
data_Ce5In2Tc
_chemical_formula_sum 'Ce10 In4 Tc2'
_cell_length_a 7.048
_cell_length_b 7.048
_cell_length_c 8.302
_cell_angle_alpha 90.00
_cell_angle_beta 90.00
_cell_angle_gamma 90.00
_symmetry_space_group_name_H-M 'I 4 m m'
_symmetry_Int_Tables_number 107
_symmetry_space_group_name_Hall 'I 4 -2'
loop_
_atom_site_label
_atom_site_fract_x
_atom_site_fract_y
_atom_site_fract_z
_atom_site_occupancy
Ce1 0.000 0.000 0.000 1
Ce2 0.201 0.201 0.650 1
In1 0.000 0.500 0.397 1
Tc1 0.000 0.000 0.272 1
```

The 10 most intense peaks (10° ≤ 2θ ≤ 90°), sorted by position:
- hkl 1 1 2, 2θ = 28.0°, I = 19
- hkl 2 1 1, 2θ = 30.3°, I = 42
- hkl 2 0 2, 2θ = 33.4°, I = 100
- hkl 1 0 3, 2θ = 34.8°, I = 23
- hkl 2 2 0, 2θ = 36.0°, I = 55
- hkl 3 0 1, 2θ = 39.9°, I = 41
- hkl 2 0 4, 2θ = 51.1°, I = 14
- hkl 3 2 3, 2θ = 57.8°, I = 31
- hkl 3 1 4, 2θ = 61.0°, I = 22
- hkl 5 2 1, 2θ = 73.2°, I = 14

This entry pairs a crystal structure of SrScAgSn with its calculated powder diffractogram. Radiation: Cu Kα X-rays. Structure: the PBE geometry in Alexandria.

```
data_SrScAgSn
_chemical_formula_sum 'Sr4 Sc4 Ag4 Sn4'
_cell_length_a 7.477
_cell_length_b 7.477
_cell_length_c 7.477
_cell_angle_alpha 90.00
_cell_angle_beta 90.00
_cell_angle_gamma 90.00
_symmetry_space_group_name_H-M 'F -4 3 m'
_symmetry_Int_Tables_number 216
_symmetry_space_group_name_Hall 'F -4 2 3'
loop_
_atom_site_label
_atom_site_fract_x
_atom_site_fract_y
_atom_site_fract_z
_atom_site_occupancy
Sr1 0.000 0.000 0.000 1
Sc1 0.000 0.000 0.500 1
Ag1 0.250 0.250 0.250 1
Sn1 0.250 0.250 0.750 1
```

The 10 most intense peaks (10° ≤ 2θ ≤ 90°), sorted by position:
- hkl 1 1 1, 2θ = 20.6°, I = 3
- hkl 2 0 0, 2θ = 23.8°, I = 9
- hkl 2 2 0, 2θ = 33.9°, I = 100
- hkl 2 2 2, 2θ = 41.9°, I = 3
- hkl 4 0 0, 2θ = 48.7°, I = 18
- hkl 4 2 0, 2θ = 54.9°, I = 4
- hkl 4 2 2, 2θ = 60.7°, I = 36
- hkl 4 4 0, 2θ = 71.4°, I = 11
- hkl 6 0 0, 2θ = 76.4°, I = 2
- hkl 6 2 0, 2θ = 81.4°, I = 16

This entry pairs a crystal structure of Tb8CePm2 with its calculated powder diffractogram. Radiation: Cu Kα X-rays. Structure: the PBE geometry in Alexandria.

```
data_Tb8CePm2
_chemical_formula_sum 'Tb16 Ce2 Pm4'
_cell_length_a 18.229
_cell_length_b 5.055
_cell_length_c 7.999
_cell_angle_alpha 90.00
_cell_angle_beta 105.22
_cell_angle_gamma 90.00
_symmetry_space_group_name_H-M 'C 1 2/m 1'
_symmetry_Int_Tables_number 12
loop_
_symmetry_equiv_pos_as_xyz
'x,y,z'
'-x,-y,-z'
'-x,y,-z'
'x,-y,z'
'x+1/2,y+1/2,z'
'-x+1/2,-y+1/2,-z'
'-x+1/2,y+1/2,-z'
'x+1/2,-y+1/2,z'
loop_
_atom_site_label
_atom_site_fract_x
_atom_site_fract_y
_atom_site_fract_z
_atom_site_occupancy
Tb1 0.044 0.000 0.231 1
Tb2 0.090 0.500 0.953 1
Tb3 0.135 0.000 0.678 1
Tb4 0.180 0.500 0.407 1
Ce1 0.000 0.500 0.500 1
Pm1 0.228 0.000 0.137 1
```

The 10 most intense peaks (10° ≤ 2θ ≤ 90°), sorted by position:
- hkl 1 1 2, 2θ = 30.6°, I = 100
- hkl 0 2 0, 2θ = 35.5°, I = 51
- hkl 6 2 1, 2θ = 51.1°, I = 36
- hkl 1 3 2, 2θ = 60.7°, I = 43
- hkl 2 2 4, 2θ = 63.7°, I = 6
- hkl 10 2 -2, 2θ = 63.8°, I = 6
- hkl 8 0 -6, 2θ = 75.1°, I = 4
- hkl 0 4 0, 2θ = 75.2°, I = 2
- hkl 9 3 -4, 2θ = 83.3°, I = 18
- hkl 6 4 1, 2θ = 86.0°, I = 16

This entry pairs a crystal structure of Pr4Nd2DyEr2 with its calculated powder diffractogram. Radiation: Cu Kα X-rays. Structure: the PBE geometry in Alexandria.

```
data_Pr4Nd2DyEr2
_chemical_formula_sum 'Pr8 Nd4 Dy2 Er4'
_cell_length_a 15.502
_cell_length_b 5.167
_cell_length_c 8.109
_cell_angle_alpha 90.00
_cell_angle_beta 108.61
_cell_angle_gamma 90.00
_symmetry_space_group_name_H-M 'C 1 2/m 1'
_symmetry_Int_Tables_number 12
loop_
_symmetry_equiv_pos_as_xyz
'x,y,z'
'-x,-y,-z'
'-x,y,-z'
'x,-y,z'
'x+1/2,y+1/2,z'
'-x+1/2,-y+1/2,-z'
'-x+1/2,y+1/2,-z'
'x+1/2,-y+1/2,z'
loop_
_atom_site_label
_atom_site_fract_x
_atom_site_fract_y
_atom_site_fract_z
_atom_site_occupancy
Pr1 0.055 0.000 0.329 1
Pr2 0.222 0.500 0.329 1
Nd1 0.112 0.500 0.671 1
Dy1 0.000 0.500 0.000 1
Er1 0.167 0.000 0.000 1
```

The 10 most intense peaks (10° ≤ 2θ ≤ 90°), sorted by position:
- hkl 3 1 1, 2θ = 30.0°, I = 100
- hkl 0 2 0, 2θ = 34.7°, I = 34
- hkl 0 0 3, 2θ = 35.0°, I = 17
- hkl 6 2 -1, 2θ = 49.9°, I = 12
- hkl 6 0 2, 2θ = 50.1°, I = 24
- hkl 9 1 0, 2θ = 59.4°, I = 29
- hkl 3 1 4, 2θ = 59.8°, I = 14
- hkl 6 2 2, 2θ = 62.4°, I = 12
- hkl 9 3 0, 2θ = 81.2°, I = 6
- hkl 9 1 3, 2θ = 81.5°, I = 12

This entry pairs a crystal structure of USiRh3 with its calculated powder diffractogram. Radiation: Cu Kα X-rays. Structure: the PBE geometry in Alexandria.

```
data_USiRh3
_chemical_formula_sum 'U4 Si4 Rh12'
_cell_length_a 7.690
_cell_length_b 5.817
_cell_length_c 8.959
_cell_angle_alpha 90.00
_cell_angle_beta 121.70
_cell_angle_gamma 90.00
_symmetry_space_group_name_H-M 'P 1 21/c 1'
_symmetry_Int_Tables_number 14
loop_
_symmetry_equiv_pos_as_xyz
'x,y,z'
'-x,-y,-z'
'-x,y+1/2,-z+1/2'
'x,-y+1/2,z+1/2'
loop_
_atom_site_label
_atom_site_fract_x
_atom_site_fract_y
_atom_site_fract_z
_atom_site_occupancy
U1 0.172 0.241 0.096 1
Si1 0.225 0.579 0.878 1
Rh1 0.124 0.537 0.274 1
Rh2 0.294 0.662 0.633 1
Rh3 0.447 0.250 0.006 1
```

The 10 most intense peaks (10° ≤ 2θ ≤ 90°), sorted by position:
- hkl 1 1 0, 2θ = 20.4°, I = 40
- hkl 0 1 2, 2θ = 28.0°, I = 59
- hkl 0 2 0, 2θ = 30.7°, I = 42
- hkl 1 0 2, 2θ = 32.8°, I = 67
- hkl 1 1 2, 2θ = 36.4°, I = 48
- hkl 1 2 -2, 2θ = 36.9°, I = 53
- hkl 3 1 -2, 2θ = 38.4°, I = 100
- hkl 0 2 2, 2θ = 39.0°, I = 45
- hkl 2 0 -4, 2θ = 40.4°, I = 64
- hkl 3 2 -2, 2θ = 47.3°, I = 32

Repeat the third record exactly.
This entry pairs a crystal structure of LiNd2Ga4Pd3 with its calculated powder diffractogram. Radiation: Cu Kα X-rays. Structure: the PBE geometry in Alexandria.

```
data_LiNd2Ga4Pd3
_chemical_formula_sum 'Li1 Nd2 Ga4 Pd3'
_cell_length_a 4.224
_cell_length_b 4.224
_cell_length_c 10.950
_cell_angle_alpha 90.00
_cell_angle_beta 90.00
_cell_angle_gamma 90.00
_symmetry_space_group_name_H-M 'P -4 m 2'
_symmetry_Int_Tables_number 115
loop_
_symmetry_equiv_pos_as_xyz
'x,y,z'
'y,-x,-z'
'-x,-y,z'
'-y,x,-z'
'-x,y,z'
'-y,-x,-z'
'x,-y,z'
'y,x,-z'
loop_
_atom_site_label
_atom_site_fract_x
_atom_site_fract_y
_atom_site_fract_z
_atom_site_occupancy
Li1 0.000 0.000 0.000 1
Nd1 0.000 0.500 0.741 1
Ga1 0.000 0.000 0.500 1
Ga2 0.000 0.500 0.134 1
Ga3 0.500 0.500 0.500 1
Pd1 0.000 0.500 0.366 1
Pd2 0.500 0.500 0.000 1
```

The 10 most intense peaks (10° ≤ 2θ ≤ 90°), sorted by position:
- hkl 1 1 0, 2θ = 29.9°, I = 32
- hkl 1 0 3, 2θ = 32.4°, I = 85
- hkl 1 1 2, 2θ = 34.2°, I = 100
- hkl 2 0 0, 2θ = 42.8°, I = 64
- hkl 1 0 5, 2θ = 46.7°, I = 44
- hkl 2 1 3, 2θ = 54.7°, I = 41
- hkl 2 2 0, 2θ = 62.2°, I = 21
- hkl 2 1 5, 2θ = 65.2°, I = 32
- hkl 3 1 2, 2θ = 72.9°, I = 21
- hkl 2 0 8, 2θ = 84.3°, I = 15

Question: What is the formula in the third record?
Answer: LiNd2Ga4Pd3